This entry pairs a crystal structure of NpSbPd14 with its computed powder XRD pattern. Radiation: Cu Kα X-rays. Structure: a cell relaxed with GGA-PBE.

Structure:
```
16
Lattice="5.778 0.000 0.000 0.000 5.778 0.000 0.000 0.000 7.773" Properties=species:S:1:pos:R:3 pbc="T T T"
Np 0.000 0.000 0.000
Sb 2.889 2.889 0.000
Pd 0.000 0.000 3.886
Pd 0.000 2.889 0.000
Pd 0.000 2.889 3.886
Pd 1.446 1.446 1.953
Pd 1.446 1.446 5.820
Pd 1.446 4.331 1.953
Pd 1.446 4.331 5.820
Pd 2.889 0.000 0.000
Pd 2.889 0.000 3.886
Pd 2.889 2.889 3.886
Pd 4.331 1.446 1.953
Pd 4.331 1.446 5.820
Pd 4.331 4.331 1.953
Pd 4.331 4.331 5.820
```

Largest 10 diffraction maxima, by angle, 2θ = 15–90°:
| 2θ/deg | intensity |
| --- | --- |
| 19.1 | 2 |
| 24.6 | 2 |
| 38.8 | 100 |
| 44.3 | 34 |
| 46.7 | 15 |
| 64.5 | 11 |
| 66.4 | 20 |
| 77.9 | 25 |
| 81.4 | 11 |
| 83.4 | 11 |

This entry pairs a crystal structure of NpSb2Pd6 with its computed powder XRD pattern. Radiation: Cu Kα X-rays. Structure: a cell relaxed with GGA-PBE.

Structure:
```
9
Lattice="4.603 0.000 0.000 -2.301 3.986 0.000 0.000 0.000 9.083" Properties=species:S:1:pos:R:3 pbc="T T T"
Np 0.000 0.000 0.000
Sb 0.000 2.657 2.147
Sb 2.301 1.329 6.935
Pd 0.000 0.000 3.066
Pd 0.000 0.000 6.016
Pd 0.000 2.657 4.743
Pd 0.000 2.657 7.545
Pd 2.301 1.329 1.538
Pd 2.301 1.329 4.340
```

Largest 10 diffraction maxima, by angle, 2θ = 15–90°:
| 2θ/deg | intensity |
| --- | --- |
| 24.4 | 14 |
| 29.8 | 15 |
| 37.3 | 98 |
| 39.1 | 100 |
| 55.2 | 32 |
| 57.0 | 9 |
| 69.7 | 31 |
| 70.9 | 17 |
| 75.1 | 8 |
| 84.1 | 11 |

This entry pairs a crystal structure of Np2Sb4Pd with its computed powder XRD pattern. Radiation: Cu Kα X-rays. Structure: a cell relaxed with GGA-PBE.

Structure:
```
7
Lattice="4.396 0.000 0.000 0.000 4.396 0.000 0.000 0.000 9.269" Properties=species:S:1:pos:R:3 pbc="T T T"
Np 0.000 2.198 2.193
Np 2.198 0.000 7.076
Sb 0.000 0.000 4.635
Sb 0.000 2.198 7.741
Sb 2.198 0.000 1.529
Sb 2.198 2.198 4.635
Pd 2.198 2.198 0.000
```

Largest 10 diffraction maxima, by angle, 2θ = 15–90°:
| 2θ/deg | intensity |
| --- | --- |
| 22.4 | 26 |
| 30.3 | 15 |
| 34.8 | 100 |
| 35.5 | 24 |
| 41.1 | 41 |
| 53.7 | 14 |
| 55.4 | 14 |
| 57.9 | 17 |
| 59.5 | 14 |
| 70.8 | 25 |

This entry pairs a crystal structure of NpTePdSe with its computed powder XRD pattern. Radiation: Cu Kα X-rays. Structure: a cell relaxed with GGA-PBE.

Structure:
```
8
Lattice="4.380 0.000 0.000 0.000 4.380 0.000 0.000 0.000 9.254" Properties=species:S:1:pos:R:3 pbc="T T T"
Np 1.095 1.095 1.957
Np 3.285 3.285 7.296
Te 1.095 1.095 6.311
Te 3.285 3.285 2.943
Pd 1.095 3.285 4.627
Pd 3.285 1.095 4.627
Se 1.095 3.285 0.000
Se 3.285 1.095 0.000
```

Largest 10 diffraction maxima, by angle, 2θ = 15–90°:
| 2θ/deg | intensity |
| --- | --- |
| 22.5 | 16 |
| 28.1 | 32 |
| 34.9 | 100 |
| 41.2 | 41 |
| 44.3 | 23 |
| 50.6 | 13 |
| 58.0 | 12 |
| 59.7 | 14 |
| 62.1 | 17 |
| 71.0 | 25 |

This entry pairs a crystal structure of NpTl2Pd2Se4 with its computed powder XRD pattern. Radiation: Cu Kα X-rays. Structure: a cell relaxed with GGA-PBE.

Structure:
```
9
Lattice="7.471 -2.077 0.000 7.471 2.077 0.000 -2.590 0.000 7.505" Properties=species:S:1:pos:R:3 pbc="T T T"
Np 0.000 0.000 0.000
Tl 0.503 0.000 4.474
Tl 11.850 0.000 3.031
Pd 2.119 0.000 7.483
Pd 10.233 0.000 0.022
Se 2.396 0.000 1.405
Se 6.655 0.000 1.734
Se 5.697 0.000 5.770
Se 9.957 0.000 6.099
```

Largest 10 diffraction maxima, by angle, 2θ = 15–90°:
| 2θ/deg | intensity |
| --- | --- |
| 22.3 | 37 |
| 22.9 | 37 |
| 24.1 | 30 |
| 28.5 | 69 |
| 31.2 | 100 |
| 31.3 | 44 |
| 33.2 | 81 |
| 33.4 | 95 |
| 38.2 | 34 |
| 43.6 | 50 |

This entry pairs a crystal structure of Np2Si6Pd21 with its computed powder XRD pattern. Radiation: Cu Kα X-rays. Structure: a cell relaxed with GGA-PBE.

Structure:
```
29
Lattice="0.000 6.129 6.129 6.129 0.000 6.129 6.129 6.129 0.000" Properties=species:S:1:pos:R:3 pbc="T T T"
Np 3.065 3.065 3.065
Np 9.194 9.194 9.194
Si 6.129 6.129 2.895
Si 6.129 2.895 6.129
Si 9.364 6.129 6.129
Si 2.895 6.129 6.129
Si 6.129 9.364 6.129
Si 6.129 6.129 9.364
Pd 1.426 1.426 1.426
Pd 4.703 4.703 1.426
Pd 4.703 1.426 4.703
Pd 6.129 4.013 4.013
Pd 8.246 6.129 4.013
Pd 8.246 4.013 6.129
Pd 10.833 7.555 7.555
Pd 4.013 6.129 4.013
Pd 6.129 8.246 4.013
Pd 4.013 4.013 6.129
Pd 6.129 6.129 6.129
Pd 8.246 8.246 6.129
Pd 6.129 4.013 8.246
Pd 8.246 6.129 8.246
Pd 1.426 4.703 4.703
Pd 4.013 8.246 6.129
Pd 4.013 6.129 8.246
Pd 6.129 8.246 8.246
Pd 7.555 10.833 7.555
Pd 7.555 7.555 10.833
Pd 10.833 10.833 10.833
```

Largest 10 diffraction maxima, by angle, 2θ = 15–90°:
| 2θ/deg | intensity |
| --- | --- |
| 32.7 | 48 |
| 35.9 | 50 |
| 38.1 | 100 |
| 41.7 | 42 |
| 43.7 | 29 |
| 49.3 | 22 |
| 62.5 | 16 |
| 64.5 | 37 |
| 66.0 | 14 |
| 76.1 | 26 |